Diffraction record for Li3Co2NiO6. The PXRD pattern is computed, not measured: it uses a DFT-relaxed cell (PBE+U, the Materials Project) and Cu Kα (λ = 1.5418 Å).
Lines closer than 0.1° are merged.

Top 10 peaks for 10 to 80 degrees two-theta, by angle:
d [Å]	two_theta	I (rel.)	hkl
4.835	18.35	100.0	0 0 2
2.552	35.16	17.4	1 1 0
2.513	35.73	14.9	-1 2 1
2.455	36.61	11.9	0 3 -1
2.409	37.33	10.8	1 -2 1
2.131	42.43	27.4	1 1 2
2.086	43.38	25.3	-1 2 3
2.035	44.53	22.5	0 3 -3
1.918	47.39	10.8	0 3 3
1.464	63.54	13.1	1 4 -1

Structure:
abc: 2.990 7.637 9.779
angles: 91.92 97.87 100.56
Fractional coordinates of all 24 atoms:
Li (0.000, 0.000, 0.000)
Li (0.151, 0.823, 0.497)
Li (0.312, 0.647, 0.001)
Li (0.500, 0.496, 0.499)
Li (0.655, 0.322, 0.996)
Li (0.817, 0.151, 0.500)
Co (0.227, 0.230, 0.244)
Co (0.413, 0.075, 0.751)
Co (0.724, 0.730, 0.743)
Co (0.907, 0.572, 0.252)
Ni (0.076, 0.408, 0.751)
Ni (0.577, 0.907, 0.251)
O (0.055, 0.189, 0.864)
O (0.119, 0.620, 0.628)
O (0.193, 0.043, 0.365)
O (0.251, 0.448, 0.137)
O (0.353, 0.880, 0.855)
O (0.449, 0.261, 0.639)
O (0.561, 0.687, 0.365)
O (0.618, 0.119, 0.127)
O (0.695, 0.545, 0.866)
O (0.757, 0.948, 0.638)
O (0.859, 0.377, 0.359)
O (0.960, 0.762, 0.141)